1.
Simulated powder diffractogram of Tl15Hg4Sb for CuKα, from the GGA-PBE geometry in Alexandria.

Principal peaks in the range 5° ≤ 2θ ≤ 70°, by angle:
2θ/deg, Rel. int.
31.47, 100
36.50, 51
52.58, 36
62.54, 29
62.65, 14
65.70, 12

Cell and atoms:
```
Tl15Hg4Sb
1.0
4.9271 0.0000 0.0000
0.0000 4.9271 0.0000
0.0000 0.0000 24.5784
Tl Hg Sb
15 4 1
Direct
0.0000 0.0000 0.0000 Tl
0.0000 0.0000 0.2006 Tl
0.0000 0.0000 0.3986 Tl
0.0000 0.0000 0.6014 Tl
0.0000 0.0000 0.7994 Tl
0.0000 0.5000 0.0989 Tl
0.0000 0.5000 0.3000 Tl
0.0000 0.5000 0.5000 Tl
0.0000 0.5000 0.7000 Tl
0.0000 0.5000 0.9011 Tl
0.5000 0.0000 0.0989 Tl
0.5000 0.0000 0.3000 Tl
0.5000 0.0000 0.5000 Tl
0.5000 0.0000 0.7000 Tl
0.5000 0.0000 0.9011 Tl
0.5000 0.5000 0.2018 Hg
0.5000 0.5000 0.3987 Hg
0.5000 0.5000 0.6013 Hg
0.5000 0.5000 0.7982 Hg
0.5000 0.5000 0.0000 Sb
```



2.
Simulated powder diffractogram of Dy4CdNi2 for CuKα, from the GGA-PBE geometry in Alexandria.

Principal peaks in the range 5° ≤ 2θ ≤ 70°, by angle:
2θ/deg, Rel. int.
25.50, 10
27.30, 100
31.64, 11
38.52, 85
39.45, 69
47.85, 22
56.32, 24
63.04, 19
64.34, 12
69.69, 15

Cell and atoms:
```
Dy4CdNi2
1.0
2.3371 1.3493 9.2224
-2.3371 1.3493 9.2224
0.0000 -2.6987 9.2224
Dy Cd Ni
4 1 2
Direct
0.1098 0.1098 0.1098 Dy
0.2982 0.2982 0.2982 Dy
0.7018 0.7018 0.7018 Dy
0.8902 0.8902 0.8902 Dy
0.5000 0.5000 0.5000 Cd
0.4014 0.4014 0.4014 Ni
0.5986 0.5986 0.5986 Ni
```



3.
Simulated powder diffractogram of Ba14Na11Li5N6 for CuKα, from the GGA-PBE geometry in Alexandria.

Principal peaks in the range 5° ≤ 2θ ≤ 70°, by angle:
2θ/deg, Rel. int.
8.61, 50
9.95, 56
17.28, 24
24.53, 21
26.04, 100
28.40, 81
36.44, 35
38.91, 26
44.11, 24
53.30, 44

Cell and atoms:
```
Ba14Na11Li5N6
1.0
0.0000 8.8900 8.8900
8.8900 0.0000 8.8900
8.8900 8.8900 0.0000
Ba Na Li N
14 11 5 6
Direct
0.1896 0.6035 0.6035 Ba
0.2121 0.2121 0.7879 Ba
0.2121 0.7879 0.2121 Ba
0.2121 0.7879 0.7879 Ba
0.3959 0.3959 0.3959 Ba
0.3959 0.3959 0.8122 Ba
0.3959 0.8122 0.3959 Ba
0.6035 0.1896 0.6035 Ba
0.6035 0.6035 0.1896 Ba
0.6035 0.6035 0.6035 Ba
0.7879 0.2121 0.2121 Ba
0.7879 0.2121 0.7879 Ba
0.7879 0.7879 0.2121 Ba
0.8122 0.3959 0.3959 Ba
0.0000 0.0000 0.0000 Na
0.0093 0.0093 0.4907 Na
0.0093 0.4907 0.0093 Na
0.0093 0.4907 0.4907 Na
0.4907 0.0093 0.0093 Na
0.4907 0.0093 0.4907 Na
0.4907 0.4907 0.0093 Na
0.5147 0.8284 0.8284 Na
0.8284 0.5147 0.8284 Na
0.8284 0.8284 0.5147 Na
0.8284 0.8284 0.8284 Na
0.1834 0.1834 0.1834 Li
0.1834 0.1834 0.4498 Li
0.1834 0.4498 0.1834 Li
0.4498 0.1834 0.1834 Li
0.5000 0.5000 0.5000 Li
0.3525 0.3525 0.6475 N
0.3525 0.6475 0.3525 N
0.3525 0.6475 0.6475 N
0.6475 0.3525 0.3525 N
0.6475 0.3525 0.6475 N
0.6475 0.6475 0.3525 N
```



4.
Simulated powder diffractogram of K2NaCeF8 for CuKα, from the GGA-PBE geometry in Alexandria.

Principal peaks in the range 5° ≤ 2θ ≤ 70°, by angle:
2θ/deg, Rel. int.
15.53, 25
16.73, 69
21.00, 20
26.22, 100
34.43, 10
41.25, 13
42.75, 30
43.85, 57
50.84, 29
52.74, 20

Cell and atoms:
```
K2NaCeF8
1.0
-2.9915 2.9915 5.7071
2.9915 -2.9915 5.7071
2.9915 2.9915 -5.7071
K Na Ce F
2 1 1 8
Direct
0.0000 0.0000 0.0000 K
0.7500 0.2500 0.5000 K
0.5000 0.5000 0.0000 Na
0.2500 0.7500 0.5000 Ce
0.1548 0.0949 0.5177 F
0.1548 0.6372 0.0600 F
0.3628 0.4228 0.5177 F
0.3628 0.8452 0.9400 F
0.5772 0.0949 0.9400 F
0.5772 0.6372 0.4823 F
0.9051 0.4228 0.0600 F
0.9051 0.8452 0.4823 F
```